1.
Structure and computed powder diffractogram of Hf2BeP (a cell relaxed with GGA-PBE; a wavelength of 1.5418 Å).

Crystal structure
Cell: 5.1191 3.5057 7.2994 Å, 90.00 110.16 90.00°
Fractional positions:
Hf 0.2196 0.2500 0.4257
Hf 0.2783 0.7500 0.0728
Hf 0.7217 0.2500 0.9272
Hf 0.7804 0.7500 0.5743
Be 0.1415 0.2500 0.7840
Be 0.8585 0.7500 0.2160
P 0.3491 0.7500 0.7161
P 0.6509 0.2500 0.2839

The 8 most intense peaks (2θ from 10° to 90°), in order of falling intensity:
2θ = 36.70°, rel. 100
2θ = 31.64°, rel. 82
2θ = 26.03°, rel. 43
2θ = 37.31°, rel. 31
2θ = 37.43°, rel. 31
2θ = 37.59°, rel. 25
2θ = 65.93°, rel. 24
2θ = 49.76°, rel. 18

---

2.
Structure and computed powder diffractogram of HoLuCl2O2 (a cell relaxed with GGA-PBE; a wavelength of 1.5418 Å).

Crystal structure
Cell: 9.0350 9.0350 7.3924 Å, 94.74 94.74 24.77°
Fractional positions:
Ho 0.1858 0.1858 0.1099
Ho 0.8142 0.8142 0.8901
Lu 0.1884 0.1884 0.6126
Lu 0.8116 0.8116 0.3874
Cl 0.0784 0.0784 0.3477
Cl 0.3966 0.3966 0.1501
Cl 0.6034 0.6034 0.8499
Cl 0.9216 0.9216 0.6523
O 0.2562 0.2562 0.3822
O 0.2556 0.2556 0.8698
O 0.7444 0.7444 0.1302
O 0.7438 0.7438 0.6178

The 8 most intense peaks (2θ from 10° to 90°), in order of falling intensity:
2θ = 10.06°, rel. 100
2θ = 27.59°, rel. 29
2θ = 30.31°, rel. 19
2θ = 34.43°, rel. 19
2θ = 33.64°, rel. 18
2θ = 33.02°, rel. 17
2θ = 34.28°, rel. 13
2θ = 27.03°, rel. 9

---

3.
Structure and computed powder diffractogram of Li4ZnPt2Pb (a cell relaxed with GGA-PBE; a wavelength of 1.5418 Å).

Crystal structure
Cell: 4.4208 4.4208 6.3262 Å, 90.00 90.00 90.00°
Fractional positions:
Li 0.0000 0.0000 0.0000
Li 0.0000 0.5000 0.7178
Li 0.5000 0.0000 0.2822
Li 0.5000 0.5000 0.5000
Zn 0.0000 0.0000 0.5000
Pt 0.0000 0.5000 0.2724
Pt 0.5000 0.0000 0.7276
Pb 0.5000 0.5000 0.0000

The 8 most intense peaks (2θ from 10° to 90°), in order of falling intensity:
2θ = 24.57°, rel. 100
2θ = 40.57°, rel. 58
2θ = 48.23°, rel. 33
2θ = 40.82°, rel. 30
2θ = 74.16°, rel. 20
2θ = 47.79°, rel. 16
2θ = 64.62°, rel. 13
2θ = 59.11°, rel. 10